Entry 1:
Calculated powder XRD pattern
Compound: CsSb3Te3
Radiation: λ = 1.5418 Å (Cu Kα)
Structure: a structure optimized by DFT (GGA-PBE)
Peak positions follow from Bragg's law for the DFT cell and can differ from measured ones.

Structural model:
```
CsSb3Te3
1.0
4.060 2.344 10.268
-4.060 2.344 10.268
0.000 -4.688 10.268
Cs Sb Te
2 6 6
direct
0.161 0.161 0.161
0.839 0.839 0.839
0.001 0.819 0.314
0.181 0.686 0.999
0.314 0.001 0.819
0.686 0.999 0.181
0.819 0.314 0.001
0.999 0.181 0.686
0.101 0.483 0.648
0.352 0.899 0.517
0.483 0.648 0.101
0.517 0.352 0.899
0.648 0.101 0.483
0.899 0.517 0.352
```

Principal peaks in the range 2θ = 10–90°, sorted by position:
d/Å, 2θ/deg, intensity
3.775, 23.57, 48
3.423, 26.03, 34
3.198, 27.90, 31
3.184, 28.02, 62
2.618, 34.25, 100
2.512, 35.74, 37


Entry 2:
Calculated powder XRD pattern
Compound: Cs2SbTe4
Radiation: λ = 1.5418 Å (Cu Kα)
Structure: a structure optimized by DFT (GGA-PBE)
Peak positions follow from Bragg's law for the DFT cell and can differ from measured ones.

Structural model:
```
Cs2SbTe4
1.0
8.889 0.000 0.000
0.000 4.281 0.000
-2.814 0.000 8.719
Cs Sb Te
2 1 4
direct
0.211 0.000 0.319
0.789 0.000 0.681
0.500 0.500 0.000
0.118 0.500 0.929
0.396 0.000 0.756
0.604 0.000 0.244
0.882 0.500 0.071
```

Principal peaks in the range 2θ = 10–90°, sorted by position:
d/Å, 2θ/deg, intensity
8.719, 10.14, 54
4.368, 20.33, 47
3.843, 23.15, 54
3.055, 29.23, 100
2.962, 30.17, 32
2.140, 42.23, 45


Entry 3:
Calculated powder XRD pattern
Compound: Cs2SbTe5
Radiation: λ = 1.5418 Å (Cu Kα)
Structure: a structure optimized by DFT (GGA-PBE)
Peak positions follow from Bragg's law for the DFT cell and can differ from measured ones.

Structural model:
```
Cs2SbTe5
1.0
7.040 0.000 0.000
0.000 7.892 0.000
0.000 0.000 13.563
Cs Sb Te
4 2 10
direct
0.000 0.000 0.000
0.000 0.000 0.495
0.500 0.500 0.500
0.500 0.500 0.995
0.000 0.500 0.801
0.500 0.000 0.301
0.000 0.500 0.001
0.201 0.279 0.248
0.201 0.721 0.248
0.299 0.221 0.748
0.299 0.779 0.748
0.500 0.000 0.501
0.701 0.221 0.748
0.701 0.779 0.748
0.799 0.279 0.248
0.799 0.721 0.248
```

Principal peaks in the range 2θ = 10–90°, sorted by position:
d/Å, 2θ/deg, intensity
6.803, 13.01, 46
3.411, 26.13, 100
3.391, 26.28, 72
3.125, 28.56, 85
2.626, 34.14, 71
2.076, 43.59, 63


Entry 4:
Calculated powder XRD pattern
Compound: Cs3Tl4Sb2
Radiation: λ = 1.5418 Å (Cu Kα)
Structure: a structure optimized by DFT (GGA-PBE)
Peak positions follow from Bragg's law for the DFT cell and can differ from measured ones.

Structural model:
```
Cs3Tl4Sb2
1.0
8.377 -2.402 0.000
8.377 2.402 0.000
-3.805 0.000 9.837
Cs Tl Sb
3 4 2
direct
0.000 0.000 0.000
0.390 0.390 0.615
0.610 0.610 0.385
0.126 0.126 0.723
0.333 0.333 0.010
0.667 0.667 0.990
0.874 0.874 0.277
0.243 0.243 0.231
0.757 0.757 0.769
```

Principal peaks in the range 2θ = 10–90°, sorted by position:
d/Å, 2θ/deg, intensity
7.597, 11.65, 28
3.274, 27.24, 100
3.192, 27.95, 32
3.092, 28.88, 73
2.763, 32.40, 23
2.402, 37.45, 29


Entry 5:
Calculated powder XRD pattern
Compound: Cs3Tl4Sb
Radiation: λ = 1.5418 Å (Cu Kα)
Structure: a structure optimized by DFT (GGA-PBE)
Peak positions follow from Bragg's law for the DFT cell and can differ from measured ones.

Structural model:
```
Cs3Tl4Sb
1.0
7.691 0.000 0.000
0.000 13.820 0.000
0.000 0.000 7.961
Cs Tl Sb
6 8 2
direct
0.000 0.000 0.000
0.000 0.271 0.451
0.000 0.729 0.451
0.500 0.229 0.951
0.500 0.500 0.500
0.500 0.771 0.951
0.000 0.349 0.986
0.000 0.651 0.986
0.208 0.000 0.497
0.292 0.500 0.997
0.500 0.151 0.486
0.500 0.849 0.486
0.708 0.500 0.997
0.792 0.000 0.497
0.000 0.500 0.700
0.500 0.000 0.200
```

Principal peaks in the range 2θ = 10–90°, sorted by position:
d/Å, 2θ/deg, intensity
6.900, 12.83, 100
3.981, 22.33, 69
3.952, 22.50, 42
2.805, 31.91, 66
2.768, 32.35, 67
2.568, 34.94, 39


Entry 6:
Calculated powder XRD pattern
Compound: CsTlSb3
Radiation: λ = 1.5418 Å (Cu Kα)
Structure: a structure optimized by DFT (GGA-PBE)
Peak positions follow from Bragg's law for the DFT cell and can differ from measured ones.

Structural model:
```
CsTlSb3
1.0
12.094 -2.508 0.000
12.094 2.508 0.000
-1.491 0.000 6.730
Cs Tl Sb
2 2 6
direct
0.156 0.156 0.322
0.844 0.844 0.678
0.365 0.365 0.187
0.635 0.635 0.813
0.028 0.028 0.833
0.243 0.243 0.882
0.471 0.471 0.662
0.529 0.529 0.338
0.757 0.757 0.118
0.972 0.972 0.167
```

Principal peaks in the range 2θ = 10–90°, sorted by position:
d/Å, 2θ/deg, intensity
3.785, 23.50, 45
3.438, 25.91, 35
3.279, 27.20, 51
2.884, 31.01, 100
2.508, 35.80, 38
1.893, 48.07, 22


Entry 7:
Calculated powder XRD pattern
Compound: Cs3Tl6Sb2
Radiation: λ = 1.5418 Å (Cu Kα)
Structure: a structure optimized by DFT (GGA-PBE)
Peak positions follow from Bragg's law for the DFT cell and can differ from measured ones.

Structural model:
```
Cs3Tl6Sb2
1.0
-2.681 2.681 16.412
2.681 -2.681 16.412
2.681 2.681 -16.412
Cs Tl Sb
3 6 2
direct
0.000 0.000 0.000
0.199 0.199 0.000
0.801 0.801 0.000
0.102 0.602 0.500
0.340 0.340 0.000
0.398 0.898 0.500
0.602 0.102 0.500
0.660 0.660 0.000
0.898 0.398 0.500
0.452 0.452 0.000
0.548 0.548 0.000
```

Principal peaks in the range 2θ = 10–90°, sorted by position:
d/Å, 2θ/deg, intensity
8.206, 10.78, 68
3.442, 25.89, 48
3.116, 28.65, 100
3.016, 29.62, 43
2.681, 33.42, 84
2.482, 36.20, 38


Entry 8:
Calculated powder XRD pattern
Compound: Cs2Tl9Sb4
Radiation: λ = 1.5418 Å (Cu Kα)
Structure: a structure optimized by DFT (GGA-PBE)
Peak positions follow from Bragg's law for the DFT cell and can differ from measured ones.

Structural model:
```
Cs2Tl9Sb4
1.0
5.535 0.000 0.000
-2.768 4.794 0.000
0.000 0.000 21.004
Cs Tl Sb
2 9 4
direct
0.333 0.667 0.260
0.667 0.333 0.740
0.000 0.000 0.000
0.000 0.000 0.159
0.000 0.000 0.362
0.000 0.000 0.638
0.000 0.000 0.841
0.333 0.667 0.060
0.333 0.667 0.452
0.667 0.333 0.548
0.667 0.333 0.940
0.333 0.667 0.602
0.333 0.667 0.895
0.667 0.333 0.105
0.667 0.333 0.398
```

Principal peaks in the range 2θ = 10–90°, sorted by position:
d/Å, 2θ/deg, intensity
3.159, 28.25, 52
2.827, 31.65, 52
2.768, 32.35, 100
1.978, 45.89, 19
1.609, 57.25, 19
1.598, 57.69, 19


Entry 9:
Calculated powder XRD pattern
Compound: Cs3Tl4Sb2
Radiation: λ = 1.5418 Å (Cu Kα)
Structure: a structure optimized by DFT (GGA-PBE)
Peak positions follow from Bragg's law for the DFT cell and can differ from measured ones.

Structural model:
```
Cs3Tl4Sb2
1.0
7.022 -7.279 0.000
7.022 7.279 0.000
-4.018 0.000 7.984
Cs Tl Sb
6 8 4
direct
0.044 0.956 0.750
0.257 0.427 0.543
0.427 0.257 0.043
0.573 0.743 0.957
0.743 0.573 0.457
0.956 0.044 0.250
0.049 0.655 0.288
0.233 0.584 0.022
0.345 0.951 0.212
0.416 0.767 0.478
0.584 0.233 0.522
0.655 0.049 0.788
0.767 0.416 0.978
0.951 0.345 0.712
0.069 0.335 0.078
0.335 0.069 0.578
0.665 0.931 0.422
0.931 0.665 0.922
```

Principal peaks in the range 2θ = 10–90°, sorted by position:
d/Å, 2θ/deg, intensity
7.499, 11.80, 85
7.279, 12.16, 38
3.303, 26.99, 70
3.160, 28.25, 100
2.859, 31.28, 61
2.779, 32.22, 36


Entry 10:
Calculated powder XRD pattern
Compound: Cs2Tl5Sb2
Radiation: λ = 1.5418 Å (Cu Kα)
Structure: a structure optimized by DFT (GGA-PBE)
Peak positions follow from Bragg's law for the DFT cell and can differ from measured ones.

Structural model:
```
Cs2Tl5Sb2
1.0
-8.844 4.843 4.593
8.844 -4.843 4.593
8.844 4.843 -4.593
Cs Tl Sb
4 10 4
direct
0.173 0.107 0.280
0.173 0.393 0.567
0.827 0.607 0.433
0.827 0.893 0.720
0.155 0.729 0.925
0.221 0.416 0.978
0.221 0.743 0.305
0.438 0.243 0.022
0.438 0.916 0.695
0.578 0.025 0.242
0.578 0.835 0.053
0.782 0.335 0.758
0.782 0.525 0.947
0.804 0.229 0.075
0.384 0.147 0.737
0.411 0.647 0.263
0.630 0.130 0.500
0.630 0.630 0.000
```

Principal peaks in the range 2θ = 10–90°, sorted by position:
d/Å, 2θ/deg, intensity
8.495, 10.41, 100
3.466, 25.70, 95
3.394, 26.26, 65
2.920, 30.62, 64
2.695, 33.24, 75
2.481, 36.21, 44


Entry 11:
Calculated powder XRD pattern
Compound: CsTlZnSb
Radiation: λ = 1.5418 Å (Cu Kα)
Structure: a structure optimized by DFT (GGA-PBE)
Peak positions follow from Bragg's law for the DFT cell and can differ from measured ones.

Structural model:
```
CsTlZnSb
1.0
4.467 0.000 0.000
0.000 4.467 0.000
0.000 0.000 15.376
Cs Tl Zn Sb
2 2 2 2
direct
0.250 0.250 0.244
0.750 0.750 0.756
0.250 0.750 0.500
0.750 0.250 0.500
0.250 0.750 0.000
0.750 0.250 0.000
0.250 0.250 0.893
0.750 0.750 0.107
```

Principal peaks in the range 2θ = 10–90°, sorted by position:
d/Å, 2θ/deg, intensity
7.688, 11.51, 46
3.367, 26.47, 57
3.094, 28.86, 41
2.921, 30.60, 100
2.233, 40.38, 44
1.990, 45.58, 51


Entry 12:
Calculated powder XRD pattern
Compound: Cs2Zn3Sb3
Radiation: λ = 1.5418 Å (Cu Kα)
Structure: a structure optimized by DFT (GGA-PBE)
Peak positions follow from Bragg's law for the DFT cell and can differ from measured ones.

Structural model:
```
Cs2Zn3Sb3
1.0
7.820 0.000 0.000
-3.910 6.772 0.000
0.000 0.000 12.749
Cs Zn Sb
4 6 6
direct
0.333 0.667 0.000
0.333 0.667 0.500
0.667 0.333 0.000
0.667 0.333 0.500
0.000 0.329 0.250
0.000 0.671 0.750
0.329 0.000 0.250
0.329 0.329 0.750
0.671 0.000 0.750
0.671 0.671 0.250
0.000 0.337 0.750
0.000 0.663 0.250
0.337 0.000 0.750
0.337 0.337 0.250
0.663 0.000 0.250
0.663 0.663 0.750
```

Principal peaks in the range 2θ = 10–90°, sorted by position:
d/Å, 2θ/deg, intensity
6.374, 13.89, 26
3.333, 26.75, 100
3.187, 27.99, 35
2.257, 39.94, 39
1.868, 48.75, 38
1.842, 49.48, 42